NpPO6: computed PXRD pattern (λ = 1.5418 Å (Cu Kα)), based on a PBE-relaxed structure.
No peak broadening, texture or thermal motion is included.

Structure:
```
data_NpPO6
_chemical_formula_sum 'Np1 P1 O6'
_cell_length_a 4.726
_cell_length_b 4.758
_cell_length_c 5.334
_cell_angle_alpha 64.03
_cell_angle_beta 85.13
_cell_angle_gamma 76.47
_space_group_name_H-M_alt 'P -1'
_space_group_IT_number 2
_space_group_name_Hall '-P 1'
loop_
_atom_site_label
_atom_site_type_symbol
_atom_site_fract_x
_atom_site_fract_y
_atom_site_fract_z
Np1 Np 0.000 0.000 0.000
P1 P 0.500 0.500 0.000
O1 O 0.272 0.266 0.999
O2 O 0.282 0.831 0.752
O3 O 0.290 0.585 0.248
```

Most intense lines, 5 to 70 degrees two-theta, low angle first:
- 2θ 18.50, d = 4.795 Å, intensity 100
- 2θ 19.32, d = 4.594 Å, intensity 30
- 2θ 21.33, d = 4.167 Å, intensity 50
- 2θ 25.49, d = 3.494 Å, intensity 40
- 2θ 25.83, d = 3.449 Å, intensity 38
- 2θ 26.60, d = 3.351 Å, intensity 17
- 2θ 31.80, d = 2.814 Å, intensity 19
- 2θ 31.98, d = 2.798 Å, intensity 19



NpPO4: computed PXRD pattern (λ = 1.5418 Å (Cu Kα)), based on a PBE-relaxed structure.
No peak broadening, texture or thermal motion is included.

Structure:
```
data_NpPO4
_chemical_formula_sum 'Np4 P4 O16'
_cell_length_a 5.433
_cell_length_b 8.217
_cell_length_c 7.914
_cell_angle_alpha 90.00
_cell_angle_beta 90.00
_cell_angle_gamma 90.00
_space_group_name_H-M_alt 'C m c m'
_space_group_IT_number 63
_space_group_name_Hall '-C 2c 2'
loop_
_atom_site_label
_atom_site_type_symbol
_atom_site_fract_x
_atom_site_fract_y
_atom_site_fract_z
Np1 Np 0.000 0.000 0.000
P1 P 0.000 0.374 0.250
O1 O 0.000 0.276 0.084
O2 O 0.238 0.483 0.250
```

Most intense lines, 5 to 70 degrees two-theta, low angle first:
- 2θ 19.59, d = 4.532 Å, intensity 85
- 2θ 21.63, d = 4.109 Å, intensity 46
- 2θ 22.47, d = 3.957 Å, intensity 25
- 2θ 29.98, d = 2.981 Å, intensity 100
- 2θ 31.39, d = 2.850 Å, intensity 23
- 2θ 36.75, d = 2.446 Å, intensity 32
- 2θ 43.50, d = 2.080 Å, intensity 28
- 2θ 46.16, d = 1.966 Å, intensity 30



PuNpPO2: computed PXRD pattern (λ = 1.5418 Å (Cu Kα)), based on a PBE-relaxed structure.
No peak broadening, texture or thermal motion is included.

Structure:
```
data_PuNpPO2
_chemical_formula_sum 'Pu2 Np2 P2 O4'
_cell_length_a 3.719
_cell_length_b 3.719
_cell_length_c 11.924
_cell_angle_alpha 90.00
_cell_angle_beta 90.00
_cell_angle_gamma 90.00
_space_group_name_H-M_alt 'I 4 m m'
_space_group_IT_number 107
_space_group_name_Hall 'I 4 -2'
loop_
_atom_site_label
_atom_site_type_symbol
_atom_site_fract_x
_atom_site_fract_y
_atom_site_fract_z
Pu1 Pu 0.000 0.000 0.000
Np1 Np 0.000 0.000 0.276
P1 P 0.000 0.000 0.639
O1 O 0.000 0.500 0.384
```

Most intense lines, 5 to 70 degrees two-theta, low angle first:
- 2θ 25.08, d = 3.550 Å, intensity 77
- 2θ 29.98, d = 2.981 Å, intensity 24
- 2θ 32.98, d = 2.716 Å, intensity 100
- 2θ 34.09, d = 2.630 Å, intensity 53
- 2θ 46.02, d = 1.972 Å, intensity 43
- 2θ 48.98, d = 1.860 Å, intensity 25
- 2θ 59.71, d = 1.549 Å, intensity 19
- 2θ 60.32, d = 1.534 Å, intensity 37



Number 1 is which compound? NpPO6